MgTeBr6O6: theoretical X-ray diffraction stick pattern (copper Kα), based on a structure optimized by DFT (PBE).

Principal peaks in the range 2θ = 10–90°, in order of rising 2θ:
| 2θ (°) | Rel. int. |
| --- | --- |
| 13.85 | 62 |
| 19.48 | 74 |
| 19.60 | 100 |
| 19.74 | 56 |
| 19.94 | 57 |
| 28.33 | 47 |
| 29.87 | 55 |
| 30.01 | 65 |
| 30.11 | 97 |
| 36.39 | 71 |

Cell and atoms:
```
data_MgTeBr6O6
_symmetry_space_group_name_H-M 'P 1'
_symmetry_Int_Tables_number 1
_cell_length_a 10.983
_cell_length_b 11.057
_cell_length_c 11.146
_cell_angle_alpha 90.89
_cell_angle_beta 90.21
_cell_angle_gamma 91.20
loop_
_symmetry_equiv_pos_as_xyz
'x,y,z'
loop_
_atom_site_label
_atom_site_type_symbol
_atom_site_fract_x
_atom_site_fract_y
_atom_site_fract_z
Mg1 Mg 0.000 0.000 0.000
Mg2 Mg 0.004 0.506 0.513
Mg3 Mg 0.500 0.505 0.014
Mg4 Mg 0.505 0.008 0.516
Te1 Te 0.008 0.007 0.518
Te2 Te 0.500 0.009 0.012
Te3 Te 0.504 0.505 0.512
Te4 Te 0.995 0.513 0.000
Br1 Br 0.030 0.739 0.161
Br2 Br 0.034 0.782 0.659
Br3 Br 0.159 0.542 0.785
Br4 Br 0.169 0.955 0.321
Br5 Br 0.217 0.342 0.028
Br6 Br 0.233 0.164 0.550
Br7 Br 0.275 0.859 0.045
Br8 Br 0.284 0.653 0.545
Br9 Br 0.348 0.036 0.787
Br10 Br 0.350 0.475 0.282
Br11 Br 0.468 0.233 0.155
Br12 Br 0.479 0.282 0.664
Br13 Br 0.529 0.781 0.870
Br14 Br 0.534 0.733 0.366
Br15 Br 0.647 0.540 0.740
Br16 Br 0.649 0.982 0.244
Br17 Br 0.726 0.361 0.476
Br18 Br 0.733 0.152 0.989
Br19 Br 0.772 0.659 0.987
Br20 Br 0.776 0.863 0.486
Br21 Br 0.861 0.474 0.238
Br22 Br 0.864 0.056 0.737
Br23 Br 0.915 0.351 0.856
Br24 Br 0.979 0.227 0.368
O1 O 0.069 0.350 0.421
O2 O 0.099 0.447 0.672
O3 O 0.130 0.117 0.933
O4 O 0.153 0.061 0.209
O5 O 0.159 0.905 0.946
O6 O 0.162 0.601 0.455
O7 O 0.340 0.404 0.950
O8 O 0.348 0.104 0.459
O9 O 0.404 0.568 0.166
O10 O 0.411 0.947 0.671
O11 O 0.438 0.661 0.922
O12 O 0.442 0.850 0.419
O13 O 0.564 0.351 0.105
O14 O 0.570 0.165 0.611
O15 O 0.593 0.449 0.856
O16 O 0.595 0.073 0.362
O17 O 0.656 0.600 0.078
O18 O 0.658 0.914 0.577
O19 O 0.845 0.411 0.570
O20 O 0.860 0.104 0.072
O21 O 0.901 0.951 0.848
O22 O 0.915 0.567 0.357
O23 O 0.941 0.661 0.608
O24 O 0.947 0.863 0.110
```

---

Li3LaSb2: theoretical X-ray diffraction stick pattern (copper Kα), based on a structure optimized by DFT (PBE).

Principal peaks in the range 2θ = 10–90°, in order of rising 2θ:
| 2θ (°) | Rel. int. |
| --- | --- |
| 11.87 | 19 |
| 25.15 | 100 |
| 32.75 | 58 |
| 38.76 | 41 |
| 42.77 | 22 |
| 46.77 | 19 |
| 51.63 | 16 |
| 62.31 | 16 |
| 64.05 | 16 |
| 66.39 | 15 |

Cell and atoms:
```
data_Li3LaSb2
_symmetry_space_group_name_H-M 'P 1'
_symmetry_Int_Tables_number 1
_cell_length_a 4.646
_cell_length_b 4.646
_cell_length_c 7.454
_cell_angle_alpha 90.00
_cell_angle_beta 90.00
_cell_angle_gamma 120.00
loop_
_symmetry_equiv_pos_as_xyz
'x,y,z'
loop_
_atom_site_label
_atom_site_type_symbol
_atom_site_fract_x
_atom_site_fract_y
_atom_site_fract_z
Li1 Li 0.000 0.000 0.000
Li2 Li 0.333 0.667 0.143
Li3 Li 0.667 0.333 0.857
La1 La 0.000 0.000 0.500
Sb1 Sb 0.333 0.667 0.758
Sb2 Sb 0.667 0.333 0.242
```

---

Na2TlCuBr6: theoretical X-ray diffraction stick pattern (copper Kα), based on a structure optimized by DFT (PBE).

Principal peaks in the range 2θ = 10–90°, in order of rising 2θ:
| 2θ (°) | Rel. int. |
| --- | --- |
| 16.35 | 100 |
| 27.28 | 16 |
| 28.52 | 17 |
| 33.05 | 78 |
| 37.08 | 50 |
| 47.44 | 54 |
| 50.51 | 26 |
| 59.03 | 18 |
| 78.99 | 22 |
| 88.33 | 17 |

Cell and atoms:
```
data_Na2TlCuBr6
_symmetry_space_group_name_H-M 'P 1'
_symmetry_Int_Tables_number 1
_cell_length_a 7.666
_cell_length_b 7.666
_cell_length_c 7.666
_cell_angle_alpha 60.00
_cell_angle_beta 60.00
_cell_angle_gamma 60.00
loop_
_symmetry_equiv_pos_as_xyz
'x,y,z'
loop_
_atom_site_label
_atom_site_type_symbol
_atom_site_fract_x
_atom_site_fract_y
_atom_site_fract_z
Na1 Na 0.250 0.250 0.250
Na2 Na 0.750 0.750 0.750
Tl1 Tl 0.000 0.000 0.000
Cu1 Cu 0.500 0.500 0.500
Br1 Br 0.263 0.263 0.737
Br2 Br 0.263 0.737 0.263
Br3 Br 0.263 0.737 0.737
Br4 Br 0.737 0.263 0.263
Br5 Br 0.737 0.263 0.737
Br6 Br 0.737 0.737 0.263
```

---

CaNb2O4: theoretical X-ray diffraction stick pattern (copper Kα), based on a structure optimized by DFT (PBE).

Principal peaks in the range 2θ = 10–90°, in order of rising 2θ:
| 2θ (°) | Rel. int. |
| --- | --- |
| 14.76 | 100 |
| 29.77 | 20 |
| 35.88 | 68 |
| 41.90 | 46 |
| 46.64 | 35 |
| 52.24 | 22 |
| 62.90 | 18 |
| 65.00 | 11 |
| 65.52 | 12 |
| 71.12 | 10 |

Cell and atoms:
```
data_CaNb2O4
_symmetry_space_group_name_H-M 'P 1'
_symmetry_Int_Tables_number 1
_cell_length_a 5.117
_cell_length_b 12.005
_cell_length_c 5.912
_cell_angle_alpha 90.00
_cell_angle_beta 90.00
_cell_angle_gamma 90.00
loop_
_symmetry_equiv_pos_as_xyz
'x,y,z'
loop_
_atom_site_label
_atom_site_type_symbol
_atom_site_fract_x
_atom_site_fract_y
_atom_site_fract_z
Ca1 Ca 0.192 0.004 0.250
Ca2 Ca 0.192 0.496 0.750
Ca3 Ca 0.808 0.504 0.250
Ca4 Ca 0.808 0.996 0.750
Nb1 Nb 0.159 0.746 0.250
Nb2 Nb 0.159 0.754 0.750
Nb3 Nb 0.344 0.250 0.000
Nb4 Nb 0.344 0.250 0.500
Nb5 Nb 0.656 0.750 0.000
Nb6 Nb 0.656 0.750 0.500
Nb7 Nb 0.841 0.246 0.250
Nb8 Nb 0.841 0.254 0.750
O1 O 0.008 0.137 0.504
O2 O 0.008 0.137 0.996
O3 O 0.008 0.363 0.004
O4 O 0.008 0.363 0.496
O5 O 0.486 0.643 0.750
O6 O 0.486 0.857 0.250
O7 O 0.494 0.640 0.250
O8 O 0.494 0.860 0.750
O9 O 0.506 0.140 0.250
O10 O 0.506 0.360 0.750
O11 O 0.514 0.143 0.750
O12 O 0.514 0.357 0.250
O13 O 0.992 0.637 0.504
O14 O 0.992 0.637 0.996
O15 O 0.992 0.863 0.004
O16 O 0.992 0.863 0.496
```

---

BaSrDyNbO6: theoretical X-ray diffraction stick pattern (copper Kα), based on a structure optimized by DFT (PBE).

Principal peaks in the range 2θ = 10–90°, in order of rising 2θ:
| 2θ (°) | Rel. int. |
| --- | --- |
| 18.17 | 4 |
| 29.89 | 100 |
| 35.20 | 3 |
| 42.78 | 29 |
| 53.06 | 43 |
| 62.10 | 17 |
| 70.40 | 12 |
| 70.49 | 6 |
| 78.35 | 6 |
| 86.05 | 22 |

Cell and atoms:
```
data_BaSrDyNbO6
_symmetry_space_group_name_H-M 'P 1'
_symmetry_Int_Tables_number 1
_cell_length_a 8.449
_cell_length_b 8.455
_cell_length_c 8.462
_cell_angle_alpha 90.00
_cell_angle_beta 90.00
_cell_angle_gamma 90.00
loop_
_symmetry_equiv_pos_as_xyz
'x,y,z'
loop_
_atom_site_label
_atom_site_type_symbol
_atom_site_fract_x
_atom_site_fract_y
_atom_site_fract_z
Ba1 Ba 0.000 0.000 0.000
Ba2 Ba 0.000 0.000 0.500
Ba3 Ba 0.500 0.000 0.000
Ba4 Ba 0.500 0.500 0.500
Sr1 Sr 0.000 0.500 0.000
Sr2 Sr 0.000 0.500 0.500
Sr3 Sr 0.500 0.000 0.500
Sr4 Sr 0.500 0.500 0.000
Dy1 Dy 0.251 0.252 0.750
Dy2 Dy 0.251 0.748 0.250
Dy3 Dy 0.749 0.252 0.250
Dy4 Dy 0.749 0.748 0.750
Nb1 Nb 0.250 0.254 0.251
Nb2 Nb 0.250 0.746 0.749
Nb3 Nb 0.750 0.254 0.749
Nb4 Nb 0.750 0.746 0.251
O1 O 0.013 0.230 0.273
O2 O 0.013 0.770 0.727
O3 O 0.219 0.487 0.287
O4 O 0.219 0.513 0.713
O5 O 0.221 0.281 0.013
O6 O 0.221 0.719 0.987
O7 O 0.270 0.015 0.228
O8 O 0.270 0.985 0.772
O9 O 0.285 0.222 0.486
O10 O 0.285 0.778 0.514
O11 O 0.485 0.286 0.217
O12 O 0.485 0.714 0.783
O13 O 0.515 0.286 0.783
O14 O 0.515 0.714 0.217
O15 O 0.715 0.222 0.514
O16 O 0.715 0.778 0.486
O17 O 0.730 0.015 0.772
O18 O 0.730 0.985 0.228
O19 O 0.779 0.281 0.987
O20 O 0.779 0.719 0.013
O21 O 0.781 0.487 0.713
O22 O 0.781 0.513 0.287
O23 O 0.987 0.230 0.727
O24 O 0.987 0.770 0.273
```

---

LiMo6Se6S2: theoretical X-ray diffraction stick pattern (copper Kα), based on a structure optimized by DFT (PBE).

Principal peaks in the range 2θ = 10–90°, in order of rising 2θ:
| 2θ (°) | Rel. int. |
| --- | --- |
| 13.14 | 100 |
| 13.29 | 62 |
| 32.41 | 22 |
| 32.58 | 40 |
| 39.98 | 20 |
| 44.41 | 28 |
| 44.59 | 23 |
| 44.96 | 22 |
| 48.07 | 21 |
| 50.51 | 23 |

Cell and atoms:
```
data_LiMo6Se6S2
_symmetry_space_group_name_H-M 'P 1'
_symmetry_Int_Tables_number 1
_cell_length_a 6.668
_cell_length_b 6.720
_cell_length_c 6.770
_cell_angle_alpha 91.48
_cell_angle_beta 91.47
_cell_angle_gamma 91.22
loop_
_symmetry_equiv_pos_as_xyz
'x,y,z'
loop_
_atom_site_label
_atom_site_type_symbol
_atom_site_fract_x
_atom_site_fract_y
_atom_site_fract_z
Li1 Li 0.000 0.000 0.000
Mo1 Mo 0.222 0.556 0.414
Mo2 Mo 0.410 0.221 0.549
Mo3 Mo 0.445 0.590 0.766
Mo4 Mo 0.549 0.420 0.231
Mo5 Mo 0.587 0.776 0.446
Mo6 Mo 0.769 0.451 0.585
Se1 Se 0.124 0.377 0.746
Se2 Se 0.214 0.224 0.224
Se3 Se 0.375 0.750 0.123
Se4 Se 0.614 0.256 0.874
Se5 Se 0.747 0.128 0.378
Se6 Se 0.780 0.783 0.776
S1 S 0.273 0.868 0.607
S2 S 0.864 0.613 0.277
```

---

Ni3Pt: theoretical X-ray diffraction stick pattern (copper Kα), based on a structure optimized by DFT (PBE).

Principal peaks in the range 2θ = 10–90°, in order of rising 2θ:
| 2θ (°) | Rel. int. |
| --- | --- |
| 24.66 | 11 |
| 27.36 | 35 |
| 34.73 | 10 |
| 43.06 | 100 |
| 49.93 | 32 |
| 50.57 | 15 |
| 73.30 | 10 |
| 73.81 | 19 |
| 88.97 | 24 |
| 89.94 | 12 |

Cell and atoms:
```
data_Ni3Pt
_symmetry_space_group_name_H-M 'P 1'
_symmetry_Int_Tables_number 1
_cell_length_a 3.653
_cell_length_b 3.653
_cell_length_c 7.220
_cell_angle_alpha 90.00
_cell_angle_beta 90.00
_cell_angle_gamma 90.00
loop_
_symmetry_equiv_pos_as_xyz
'x,y,z'
loop_
_atom_site_label
_atom_site_type_symbol
_atom_site_fract_x
_atom_site_fract_y
_atom_site_fract_z
Ni1 Ni 0.000 0.000 0.000
Ni2 Ni 0.000 0.500 0.250
Ni3 Ni 0.000 0.500 0.750
Ni4 Ni 0.500 0.000 0.250
Ni5 Ni 0.500 0.000 0.750
Ni6 Ni 0.500 0.500 0.500
Pt1 Pt 0.000 0.000 0.500
Pt2 Pt 0.500 0.500 0.000
```